(1)
This entry pairs a crystal structure of Pm6NdEr6 with its computed powder XRD pattern. Radiation: Cu Kα (weighted mean of Kα1 and Kα2). Structure: a cell relaxed with GGA-PBE.
Intensities are scaled so that the largest is 100.

Atomic structure:
```
data_Pm6NdEr6
_space_group_name_H-M_alt 'P 1 2/m 1'
_space_group_IT_number 10
_cell_length_a 6.608
_cell_length_b 11.119
_cell_length_c 6.651
_cell_angle_alpha 90.00
_cell_angle_beta 115.44
_cell_angle_gamma 90.00
loop_
_space_group_symop_operation_xyz
'x,y,z'
'-x,-y,-z'
'-x,y,-z'
'x,-y,z'
loop_
_atom_site_label
_atom_site_fract_x
_atom_site_fract_y
_atom_site_fract_z
Pm1 0.000 0.168 0.000
Pm2 0.273 0.000 0.740
Pm3 0.334 0.500 0.616
Nd1 0.000 0.500 0.000
Er1 0.000 0.267 0.500
Er2 0.500 0.199 0.500
Er3 0.500 0.282 0.000
```

Most intense lines, 5 to 70 degrees two-theta, by intensity:
| (hkl) | Position (°2θ) | intensity |
| --- | --- | --- |
| 1 3 -1 | 28.9 | 100 |
| 2 0 0 | 29.9 | 82 |
| 2 2 0 | 34.1 | 75 |
| 0 2 2 | 33.9 | 58 |
| 2 0 -2 | 31.9 | 52 |
| 0 0 2 | 29.7 | 42 |
| 1 3 1 | 35.0 | 39 |
| 0 4 0 | 32.2 | 37 |

=====

(2)
This entry pairs a crystal structure of PmNd6Er with its computed powder XRD pattern. Radiation: Cu Kα (weighted mean of Kα1 and Kα2). Structure: a cell relaxed with GGA-PBE.
Intensities are scaled so that the largest is 100.

Atomic structure:
```
data_PmNd6Er
_space_group_name_H-M_alt 'P 4/m m m'
_space_group_IT_number 123
_space_group_name_Hall '-P 4 2'
_cell_length_a 5.169
_cell_length_b 5.169
_cell_length_c 10.333
_cell_angle_alpha 90.00
_cell_angle_beta 90.00
_cell_angle_gamma 90.00
loop_
_atom_site_label
_atom_site_fract_x
_atom_site_fract_y
_atom_site_fract_z
Pm1 0.000 0.000 0.000
Nd1 0.000 0.500 0.252
Nd2 0.500 0.500 0.000
Nd3 0.500 0.500 0.500
Er1 0.000 0.000 0.500
```

Most intense lines, 5 to 70 degrees two-theta, by intensity:
| (hkl) | Position (°2θ) | intensity |
| --- | --- | --- |
| 1 1 2 | 29.9 | 100 |
| 2 0 0 | 34.7 | 51 |
| 3 1 2 | 59.3 | 43 |
| 2 2 0 | 49.9 | 36 |
| 2 2 4 | 62.2 | 12 |

=====

(3)
This entry pairs a crystal structure of PmNd12Er5 with its computed powder XRD pattern. Radiation: Cu Kα (weighted mean of Kα1 and Kα2). Structure: a cell relaxed with GGA-PBE.
Intensities are scaled so that the largest is 100.

Atomic structure:
```
data_PmNd12Er5
_space_group_name_H-M_alt 'P 1 2/m 1'
_space_group_IT_number 10
_cell_length_a 10.883
_cell_length_b 5.145
_cell_length_c 10.896
_cell_angle_alpha 90.00
_cell_angle_beta 90.22
_cell_angle_gamma 90.00
loop_
_space_group_symop_operation_xyz
'x,y,z'
'-x,-y,-z'
'-x,y,-z'
'x,-y,z'
loop_
_atom_site_label
_atom_site_fract_x
_atom_site_fract_y
_atom_site_fract_z
Pm1 0.000 0.000 0.000
Nd1 0.002 0.000 0.667
Nd2 0.166 0.500 0.166
Nd3 0.169 0.500 0.502
Nd4 0.333 0.000 0.998
Nd5 0.336 0.000 0.336
Nd6 0.498 0.500 0.831
Er1 0.168 0.500 0.832
Er2 0.333 0.000 0.667
Er3 0.500 0.500 0.500
```

Most intense lines, 5 to 70 degrees two-theta, by intensity:
| (hkl) | Position (°2θ) | intensity |
| --- | --- | --- |
| 3 1 0 | 30.1 | 100 |
| 0 2 0 | 34.9 | 34 |
| 3 3 0 | 59.6 | 29 |
| 3 2 -3 | 50.2 | 18 |
| 6 0 0 | 50.3 | 18 |
| 3 0 3 | 35.0 | 17 |
| 6 1 3 | 59.8 | 14 |
| 6 2 0 | 62.6 | 12 |

=====

(4)
This entry pairs a crystal structure of PmNd3Er2S6 with its computed powder XRD pattern. Radiation: Cu Kα (weighted mean of Kα1 and Kα2). Structure: a cell relaxed with GGA-PBE.
Intensities are scaled so that the largest is 100.

Atomic structure:
```
data_PmNd3Er2S6
_space_group_name_H-M_alt 'C 1 2/m 1'
_space_group_IT_number 12
_cell_length_a 6.881
_cell_length_b 11.954
_cell_length_c 6.972
_cell_angle_alpha 90.00
_cell_angle_beta 109.26
_cell_angle_gamma 90.00
loop_
_space_group_symop_operation_xyz
'x,y,z'
'-x,-y,-z'
'-x,y,-z'
'x,-y,z'
'x+1/2,y+1/2,z'
'-x+1/2,-y+1/2,-z'
'-x+1/2,y+1/2,-z'
'x+1/2,-y+1/2,z'
loop_
_atom_site_label
_atom_site_fract_x
_atom_site_fract_y
_atom_site_fract_z
Pm1 0.000 0.000 0.000
Nd1 0.000 0.162 0.500
Nd2 0.000 0.500 0.500
Er1 0.000 0.334 0.000
S1 0.235 0.500 0.233
S2 0.250 0.172 0.237
```

Most intense lines, 5 to 70 degrees two-theta, by intensity:
| (hkl) | Position (°2θ) | intensity |
| --- | --- | --- |
| 2 0 -2 | 31.7 | 100 |
| 2 0 0 | 27.4 | 58 |
| 2 0 2 | 45.2 | 36 |
| 3 3 -1 | 45.6 | 24 |
| 0 0 2 | 27.1 | 20 |
| 3 3 -3 | 53.8 | 13 |
| 3 3 1 | 53.9 | 13 |
| 2 6 -2 | 56.5 | 12 |

=====

(5)
This entry pairs a crystal structure of Pm4Nd3ErS8 with its computed powder XRD pattern. Radiation: Cu Kα (weighted mean of Kα1 and Kα2). Structure: a cell relaxed with GGA-PBE.
Intensities are scaled so that the largest is 100.

Atomic structure:
```
data_Pm4Nd3ErS8
_space_group_name_H-M_alt 'R -3 m'
_space_group_IT_number 166
_space_group_name_Hall '-R 3 2"'
_cell_length_a 8.0617
_cell_length_b 8.0617
_cell_length_c 19.7111
_cell_angle_alpha 90.00
_cell_angle_beta 90.00
_cell_angle_gamma 120.00
loop_
_atom_site_label
_atom_site_fract_x
_atom_site_fract_y
_atom_site_fract_z
Pm1 0.0000 0.0000 0.0000
Pm2 0.0000 0.5000 0.0000
Nd1 0.0000 0.5000 0.5000
Er1 0.0000 0.0000 0.5000
S1 0.0000 0.0000 0.2511
S2 0.0100 0.5050 0.2486
```

Most intense lines, 5 to 70 degrees two-theta, by intensity:
| (hkl) | Position (°2θ) | intensity |
| --- | --- | --- |
| 0 2 4 | 31.4 | 100 |
| 2 0 2 | 27.1 | 76 |
| 2 2 0 | 45.0 | 72 |
| 2 2 6 | 53.3 | 38 |
| 0 0 12 | 55.9 | 25 |
| 0 4 8 | 65.5 | 12 |

=====

(6)
This entry pairs a crystal structure of PmNd2Er3S6 with its computed powder XRD pattern. Radiation: Cu Kα (weighted mean of Kα1 and Kα2). Structure: a cell relaxed with GGA-PBE.
Intensities are scaled so that the largest is 100.

Atomic structure:
```
data_PmNd2Er3S6
_space_group_name_H-M_alt 'C 1 2/m 1'
_space_group_IT_number 12
_cell_length_a 17.371
_cell_length_b 3.917
_cell_length_c 8.028
_cell_angle_alpha 90.00
_cell_angle_beta 104.91
_cell_angle_gamma 90.00
loop_
_space_group_symop_operation_xyz
'x,y,z'
'-x,-y,-z'
'-x,y,-z'
'x,-y,z'
'x+1/2,y+1/2,z'
'-x+1/2,-y+1/2,-z'
'-x+1/2,y+1/2,-z'
'x+1/2,-y+1/2,z'
loop_
_atom_site_label
_atom_site_fract_x
_atom_site_fract_y
_atom_site_fract_z
Pm1 0.000 0.000 0.000
Nd1 0.167 0.500 0.334
Er1 0.000 0.000 0.500
Er2 0.167 0.500 0.833
S1 0.004 0.500 0.741
S2 0.162 0.000 0.595
S3 0.170 0.000 0.072
```

Most intense lines, 5 to 70 degrees two-theta, by intensity:
| (hkl) | Position (°2θ) | intensity |
| --- | --- | --- |
| 6 0 0 | 32.0 | 100 |
| 3 1 0 | 27.8 | 59 |
| 5 1 2 | 46.3 | 35 |
| 7 1 -2 | 45.4 | 24 |
| 4 0 -2 | 27.0 | 21 |
| 9 1 0 | 54.5 | 13 |
| 2 0 -4 | 45.2 | 12 |
| 6 2 0 | 57.4 | 12 |

=====

(7)
This entry pairs a crystal structure of TbPm2Nd4Er with its computed powder XRD pattern. Radiation: Cu Kα (weighted mean of Kα1 and Kα2). Structure: a cell relaxed with GGA-PBE.
Intensities are scaled so that the largest is 100.

Atomic structure:
```
data_TbPm2Nd4Er
_space_group_name_H-M_alt 'P 1 2/m 1'
_space_group_IT_number 10
_cell_length_a 5.142
_cell_length_b 5.164
_cell_length_c 10.233
_cell_angle_alpha 90.00
_cell_angle_beta 90.10
_cell_angle_gamma 90.00
loop_
_space_group_symop_operation_xyz
'x,y,z'
'-x,-y,-z'
'-x,y,-z'
'x,-y,z'
loop_
_atom_site_label
_atom_site_fract_x
_atom_site_fract_y
_atom_site_fract_z
Tb1 0.000 0.000 0.000
Pm1 0.000 0.000 0.500
Pm2 0.500 0.500 0.000
Nd1 0.000 0.500 0.251
Nd2 0.500 0.000 0.250
Er1 0.500 0.500 0.500
```

Most intense lines, 5 to 70 degrees two-theta, by intensity:
| (hkl) | Position (°2θ) | intensity |
| --- | --- | --- |
| 1 1 2 | 30.1 | 100 |
| 0 2 4 | 50.2 | 18 |
| 0 2 0 | 34.7 | 17 |
| 2 0 0 | 34.9 | 17 |
| 0 0 4 | 35.1 | 17 |
| 1 3 2 | 59.4 | 15 |
| 3 1 2 | 59.6 | 14 |
| 1 1 6 | 59.9 | 14 |

=====

(8)
This entry pairs a crystal structure of Tb2Pm2Nd4Er with its computed powder XRD pattern. Radiation: Cu Kα (weighted mean of Kα1 and Kα2). Structure: a cell relaxed with GGA-PBE.
Intensities are scaled so that the largest is 100.

Atomic structure:
```
data_Tb2Pm2Nd4Er
_space_group_name_H-M_alt 'C 1 2/m 1'
_space_group_IT_number 12
_cell_length_a 18.952
_cell_length_b 3.665
_cell_length_c 9.738
_cell_angle_alpha 90.00
_cell_angle_beta 115.59
_cell_angle_gamma 90.00
loop_
_space_group_symop_operation_xyz
'x,y,z'
'-x,-y,-z'
'-x,y,-z'
'x,-y,z'
'x+1/2,y+1/2,z'
'-x+1/2,-y+1/2,-z'
'-x+1/2,y+1/2,-z'
'x+1/2,-y+1/2,z'
loop_
_atom_site_label
_atom_site_fract_x
_atom_site_fract_y
_atom_site_fract_z
Tb1 0.148 0.000 0.169
Pm1 0.166 0.500 0.498
Nd1 0.018 0.500 0.832
Nd2 0.186 0.000 0.832
Er1 0.000 0.000 0.500
```

Most intense lines, 5 to 70 degrees two-theta, by intensity:
| (hkl) | Position (°2θ) | intensity |
| --- | --- | --- |
| 3 1 -2 | 31.3 | 100 |
| 3 1 1 | 33.0 | 57 |
| 0 0 3 | 30.5 | 49 |
| 6 0 -1 | 28.4 | 37 |
| 9 1 1 | 59.7 | 29 |
| 6 0 -3 | 33.1 | 28 |
| 9 1 -2 | 50.0 | 25 |
| 3 1 -5 | 53.7 | 23 |